Record 1
For LiAgS2Cl, a GGA-PBE-relaxed structure gives the calculated powder XRD pattern in this record (Cu Ka).
Peak positions follow from Bragg's law for the DFT cell and can differ from measured ones.

Largest 10 diffraction maxima, in order of falling intensity, 10 to 90 degrees two-theta:
| 2θ (°) | I_rel | h k l |
| --- | --- | --- |
| 33.50 | 100 | 1 1 1 |
| 26.49 | 53 | 0 0 2 |
| 51.40 | 36 | 1 1 3 |
| 25.34 | 30 | 1 0 1 |
| 52.03 | 28 | 2 0 2 |
| 13.16 | 28 | 0 0 1 |
| 43.93 | 24 | 2 0 0 |
| 74.08 | 19 | 3 1 1 |
| 21.56 | 17 | 1 0 0 |
| 86.32 | 15 | 3 1 3 |

Cell lengths 4.1224, 4.1224, 6.7284 Å; angles 90.00, 90.00, 90.00 degrees
Space group P4/mmm (No. 123)
Unique sites:
Li  0.0000  0.0000  0.0000 [1 per cell]
Ag  0.5000  0.5000  0.5000 [1 per cell]
S  0.0000  0.5000  0.0000 [2 per cell]
Cl  0.0000  0.0000  0.5000 [1 per cell]

=====

Record 2
For Ce3SiP2Ir9, a GGA-PBE-relaxed structure gives the calculated powder XRD pattern in this record (Cu Ka).
Peak positions follow from Bragg's law for the DFT cell and can differ from measured ones.

Largest 10 diffraction maxima, in order of falling intensity, 10 to 90 degrees two-theta:
| 2θ (°) | I_rel | h k l |
| --- | --- | --- |
| 37.98 | 100 | 0 2 1 |
| 41.02 | 87 | 2 0 2 |
| 25.98 | 67 | 0 0 3 |
| 51.70 | 31 | 0 2 4 |
| 66.52 | 27 | 2 2 0 |
| 72.71 | 23 | 2 2 3 |
| 58.76 | 17 | 2 0 5 |
| 81.22 | 12 | 0 4 2 |
| 79.26 | 12 | 4 0 1 |
| 20.18 | 11 | 1 0 1 |

Cell lengths 5.6217, 5.6217, 10.2876 Å; angles 90.00, 90.00, 120.00 degrees
Space group P-3m1 (No. 164)
Unique sites:
Ce  0.0000  0.0000  0.0000 [1 per cell]
Ce  0.3333  0.6667  0.5884 [2 per cell]
Si  0.0000  0.0000  0.5000 [1 per cell]
P  0.3333  0.6667  0.1622 [2 per cell]
Ir  0.0000  0.5000  0.0000 [3 per cell]
Ir  0.1621  0.3243  0.3172 [6 per cell]

=====

Record 3
For Er3Tm3Pb4, a GGA-PBE-relaxed structure gives the calculated powder XRD pattern in this record (Cu Ka).
Peak positions follow from Bragg's law for the DFT cell and can differ from measured ones.

Largest 10 diffraction maxima, in order of falling intensity, 10 to 90 degrees two-theta:
| 2θ (°) | I_rel | h k l |
| --- | --- | --- |
| 32.14 | 100 | 1 1 3 |
| 34.83 | 41 | 0 4 2 |
| 55.51 | 22 | 2 4 2 |
| 65.36 | 18 | 1 7 3 |
| 41.81 | 16 | 2 0 0 |
| 70.28 | 12 | 3 1 3 |
| 30.15 | 12 | 1 2 2 |
| 50.81 | 11 | 1 3 5 |
| 40.78 | 9 | 1 4 2 |
| 20.55 | 7 | 1 0 0 |

Cell lengths 4.3212, 11.5194, 11.5214 Å; angles 90.00, 90.00, 90.00 degrees
Space group Amm2 (No. 38)
Unique sites:
Er  0.0000  0.0000  0.0000 [2 per cell]
Er  0.0000  0.1646  0.6642 [4 per cell]
Tm  0.0000  0.0000  0.3291 [2 per cell]
Tm  0.5000  0.2500  0.4145 [4 per cell]
Pb  0.5000  0.0000  0.5239 [2 per cell]
Pb  0.5000  0.0000  0.8043 [2 per cell]
Pb  0.5000  0.1398  0.1648 [4 per cell]

=====

Record 4
For AcNdGaSi, a GGA-PBE-relaxed structure gives the calculated powder XRD pattern in this record (Cu Ka).
Peak positions follow from Bragg's law for the DFT cell and can differ from measured ones.

Largest 10 diffraction maxima, in order of falling intensity, 10 to 90 degrees two-theta:
| 2θ (°) | I_rel | h k l |
| --- | --- | --- |
| 30.18 | 100 | 0 1 3 |
| 26.42 | 33 | 1 0 2 |
| 37.35 | 21 | 1 1 3 |
| 30.58 | 15 | 0 0 4 |
| 39.53 | 15 | 0 2 0 |
| 54.14 | 15 | 2 1 3 |
| 49.03 | 13 | 1 1 5 |
| 20.91 | 13 | 0 1 1 |
| 48.18 | 13 | 1 2 2 |
| 65.98 | 12 | 0 3 3 |

Cell lengths 4.1302, 4.5589, 11.6940 Å; angles 90.00, 90.00, 90.00 degrees
Space group Amm2 (No. 38)
Unique sites:
Ac  0.0000  0.0000  0.0000 [2 per cell]
Nd  0.5000  0.0000  0.2838 [2 per cell]
Ga  0.5000  0.0000  0.5851 [2 per cell]
Si  0.0000  0.0000  0.7189 [2 per cell]

=====

Record 5
For KPa2Bi2O7, a GGA-PBE-relaxed structure gives the calculated powder XRD pattern in this record (Cu Ka).
Peak positions follow from Bragg's law for the DFT cell and can differ from measured ones.

Largest 10 diffraction maxima, in order of falling intensity, 10 to 90 degrees two-theta:
| 2θ (°) | I_rel | h k l |
| --- | --- | --- |
| 20.91 | 100 | 1 0 0 |
| 31.98 | 80 | 1 0 3 |
| 33.94 | 55 | 1 1 -3 |
| 34.11 | 55 | -1 1 3 |
| 21.45 | 51 | 0 1 -1 |
| 29.32 | 51 | 0 1 3 |
| 23.10 | 50 | 1 0 -2 |
| 21.55 | 49 | 0 1 1 |
| 41.39 | 37 | 0 2 0 |
| 41.96 | 35 | 2 0 -1 |

Cell lengths 4.3066, 4.3636, 13.0628 Å; angles 90.43, 99.33, 90.01 degrees
Space group P-1 (No. 2)
Unique sites:
K  0.0000  0.0000  0.0000 [1 per cell]
Pa  0.4163  0.4962  0.8300 [2 per cell]
Bi  0.2961  0.9942  0.5936 [2 per cell]
O  0.0784  0.5038  0.1592 [2 per cell]
O  0.3284  0.4915  0.6528 [2 per cell]
O  0.4138  0.9961  0.8259 [2 per cell]
O  0.5000  0.5000  0.0000 [1 per cell]